Diffraction record for Ca10P6SO24. The X-ray powder pattern is simulated, not measured: it uses a crystal structure in Alexandria, relaxed with GGA-PBE and Cu Kα, 1.54184 Å.

Crystal structure
Lattice parameters (Å, degrees): 9.568 9.568 6.878 90.00 90.00 120.00
Fractional positions:
Ca 0.008 0.256 0.256
Ca 0.248 0.992 0.256
Ca 0.256 0.248 0.744
Ca 0.333 0.667 0.021
Ca 0.333 0.667 0.513
Ca 0.667 0.333 0.487
Ca 0.667 0.333 0.979
Ca 0.744 0.752 0.256
Ca 0.752 0.008 0.744
Ca 0.992 0.744 0.744
P 0.028 0.398 0.753
P 0.371 0.972 0.753
P 0.398 0.371 0.247
P 0.602 0.629 0.753
P 0.629 0.028 0.247
P 0.972 0.602 0.247
S 0.000 0.000 0.500
O 0.068 0.305 0.908
O 0.100 0.386 0.556
O 0.115 0.583 0.801
O 0.158 0.674 0.257
O 0.237 0.932 0.908
O 0.286 0.900 0.556
O 0.305 0.237 0.092
O 0.326 0.483 0.257
O 0.386 0.286 0.444
O 0.417 0.532 0.801
O 0.468 0.885 0.801
O 0.483 0.158 0.743
O 0.517 0.842 0.257
O 0.532 0.115 0.199
O 0.583 0.468 0.199
O 0.614 0.714 0.556
O 0.674 0.517 0.743
O 0.695 0.763 0.908
O 0.714 0.100 0.444
O 0.763 0.068 0.092
O 0.842 0.326 0.743
O 0.885 0.417 0.199
O 0.900 0.614 0.444
O 0.932 0.695 0.092

Largest 10 diffraction maxima, in order of rising 2θ, 2θ = 10–90°:
10.7 deg, d 8.286, rel. 16; 25.9 deg, d 3.439, rel. 21; 28.5 deg, d 3.132, rel. 16; 31.4 deg, d 2.850, rel. 100; 32.1 deg, d 2.792, rel. 74; 32.4 deg, d 2.762, rel. 56; 39.2 deg, d 2.298, rel. 19; 46.2 deg, d 1.964, rel. 35; 49.3 deg, d 1.850, rel. 33; 49.8 deg, d 1.832, rel. 17